Dy6Tl2Os: theoretical X-ray powder pattern (a wavelength of 1.5418 Å), based on a PBE-relaxed structure.
Neutral-atom scattering factors, no anomalous dispersion.

Most intense lines, 2θ from 10° to 80°, in order of rising 2θ:
30.8 deg, I = 592; 30.9 deg, I = 1000; 31.9 deg, I = 281; 32.0 deg, I = 324; 33.2 deg, I = 944; 33.3 deg, I = 421; 36.2 deg, I = 694; 36.5 deg, I = 320; 39.4 deg, I = 306; 39.6 deg, I = 693; 46.3 deg, I = 391; 60.2 deg, I = 324

Atomic structure:
Cell: 3.922 14.774 8.612 Å, 90.00 90.00 90.00°
Space group Amm2 (No. 38)
Symmetry-distinct sites (fractional):
Dy 0.000 0.000 0.000
Dy 0.000 0.118 0.630
Dy 0.500 0.000 0.361
Dy 0.500 0.192 0.942
Tl 0.000 0.169 0.251
Os 0.500 0.000 0.764


Dy2Tm3Os2: theoretical X-ray powder pattern (a wavelength of 1.5418 Å), based on a PBE-relaxed structure.
Neutral-atom scattering factors, no anomalous dispersion.

Most intense lines, 2θ from 10° to 80°, in order of rising 2θ:
16.0 deg, I = 264; 31.4 deg, I = 391; 32.3 deg, I = 1000; 32.8 deg, I = 328; 33.6 deg, I = 577; 33.7 deg, I = 488; 35.2 deg, I = 639; 36.1 deg, I = 656; 40.4 deg, I = 528; 45.9 deg, I = 466; 61.1 deg, I = 245; 61.2 deg, I = 258

Atomic structure:
Cell: 11.738 3.954 8.217 Å, 90.00 112.82 90.00°
Space group C2/m (No. 12)
Symmetry-distinct sites (fractional):
Dy 0.164 0.000 0.313
Tm 0.000 0.500 0.500
Tm 0.126 0.500 0.931
Os 0.175 0.000 0.715


Dy4YOs2: theoretical X-ray powder pattern (a wavelength of 1.5418 Å), based on a PBE-relaxed structure.
Neutral-atom scattering factors, no anomalous dispersion.

Most intense lines, 2θ from 10° to 80°, in order of rising 2θ:
12.1 deg, I = 775; 30.9 deg, I = 1000; 31.5 deg, I = 630; 31.6 deg, I = 664; 34.0 deg, I = 563; 34.4 deg, I = 826; 36.0 deg, I = 580; 36.6 deg, I = 897; 36.8 deg, I = 853; 37.9 deg, I = 771; 39.5 deg, I = 628; 58.3 deg, I = 583

Atomic structure:
Cell: 7.808 6.292 7.923 Å, 90.00 112.23 90.00°
Space group P2_1/m (No. 11)
Symmetry-distinct sites (fractional):
Dy 0.122 0.250 0.479
Dy 0.175 0.750 0.250
Dy 0.260 0.501 0.919
Y 0.474 0.250 0.340
Os 0.086 0.250 0.123
Os 0.475 0.250 0.756


DyPa4P6: theoretical X-ray powder pattern (a wavelength of 1.5418 Å), based on a PBE-relaxed structure.
Neutral-atom scattering factors, no anomalous dispersion.

Most intense lines, 2θ from 10° to 80°, in order of rising 2θ:
22.9 deg, I = 245; 25.6 deg, I = 821; 28.3 deg, I = 1000; 32.5 deg, I = 522; 34.9 deg, I = 401; 36.5 deg, I = 323; 38.5 deg, I = 327; 43.9 deg, I = 243; 49.6 deg, I = 190; 49.9 deg, I = 378; 50.1 deg, I = 239; 75.8 deg, I = 211

Atomic structure:
Cell: 10.9115 10.9115 13.5793 Å, 90.00 90.00 120.00°
Space group R-3c (No. 167, hexagonal axes)
Symmetry-distinct sites (fractional):
Dy 0.0000 0.0000 0.0000
Pa 0.0000 0.0000 0.2500
Pa 0.0000 0.3855 0.2500
P 0.0296 0.2106 0.3840


Dy3Pa5P8: theoretical X-ray powder pattern (a wavelength of 1.5418 Å), based on a PBE-relaxed structure.
Neutral-atom scattering factors, no anomalous dispersion.

Most intense lines, 2θ from 10° to 80°, in order of rising 2θ:
13.6 deg, I = 34; 26.3 deg, I = 23; 27.5 deg, I = 1000; 31.8 deg, I = 975; 34.8 deg, I = 11; 45.6 deg, I = 722; 47.9 deg, I = 10; 54.1 deg, I = 495; 56.7 deg, I = 254; 66.5 deg, I = 119; 73.4 deg, I = 203; 75.7 deg, I = 331

Atomic structure:
Cell: 7.9465 7.9465 19.4907 Å, 90.00 90.00 120.00°
Space group R-3m (No. 166, hexagonal axes)
Symmetry-distinct sites (fractional):
Dy 0.0000 0.5000 0.0000
Pa 0.0000 0.0000 0.0000
Pa 0.0000 0.0000 0.5000
Pa 0.0000 0.5000 0.5000
P 0.0000 0.0000 0.2485
P 0.0005 0.5003 0.7503


DyPa5P6: theoretical X-ray powder pattern (a wavelength of 1.5418 Å), based on a PBE-relaxed structure.
Neutral-atom scattering factors, no anomalous dispersion.

Most intense lines, 2θ from 10° to 80°, in order of rising 2θ:
15.6 deg, I = 6; 17.5 deg, I = 5; 27.5 deg, I = 1000; 31.9 deg, I = 937; 45.7 deg, I = 696; 54.2 deg, I = 497; 56.8 deg, I = 246; 66.6 deg, I = 115; 73.5 deg, I = 154; 73.6 deg, I = 51; 75.8 deg, I = 321

Atomic structure:
Cell: 6.879 11.915 6.875 Å, 90.00 109.50 90.00°
Space group C2/m (No. 12)
Symmetry-distinct sites (fractional):
Dy 0.000 0.000 0.000
Pa 0.000 0.165 0.500
Pa 0.000 0.333 0.000
Pa 0.000 0.500 0.500
P 0.249 0.500 0.249
P 0.250 0.167 0.250